# LiVP2O8
Theoretical XRD peak list, Cu Kα, 1.54184 Å. Input: a GGA+U-relaxed structure.
Peak positions follow from Bragg's law for the DFT cell and can differ from measured ones.

Cell lengths 5.1601, 8.0065, 7.0132 Å; angles 90.00, 90.00, 90.00 degrees
Space group Pmn2_1 (No. 31)
Symmetry-distinct sites (fractional):
Li 0.0000 0.2273 0.0000 x2
V 0.0000 0.2490 0.5942 x2
P 0.0000 0.5579 0.9208 x2
P 0.0000 0.9312 0.2971 x2
O 0.0000 0.0331 0.4931 x2
O 0.0000 0.0460 0.1328 x2
O 0.0000 0.4415 0.0864 x2
O 0.0000 0.4691 0.7233 x2
O 0.2400 0.6812 0.9311 x4
O 0.2445 0.8148 0.2960 x4

The 8 most intense peaks (2θ from 10° to 90°), in order of rising 2θ:
d = 5.275 Å, 16.81 deg, intensity 100, hkl 0 1 1; d = 4.337 Å, 20.48 deg, intensity 23, hkl 1 1 0; d = 3.689 Å, 24.13 deg, intensity 95, hkl 1 1 1; d = 3.477 Å, 25.62 deg, intensity 36, hkl 0 2 1; d = 2.883 Å, 31.02 deg, intensity 30, hkl 1 2 1; d = 2.727 Å, 32.84 deg, intensity 41, hkl 1 1 2; d = 2.580 Å, 34.77 deg, intensity 18, hkl 2 0 0; d = 1.453 Å, 64.08 deg, intensity 17, hkl 2 3 3